For Sc2ZnS, DFT lattice parameters and positions (PBE) gives the computed powder diffraction line list in this record (Cu Ka).

Structure:
abc: 3.656 20.983 3.895
angles: 90.00 90.00 90.00
Space group Cmcm (No. 63)
Inequivalent atoms, fractional coordinates:
Sc 0.000 0.073 0.250 x4
Sc 0.000 0.316 0.250 x4
Zn 0.000 0.460 0.250 x4
S 0.000 0.193 0.250 x4

The 12 most intense peaks (5 to 70 degrees two-theta), in order of falling intensity:
2theta  I_rel
33.9  100
45.5  64
8.4  49
34.2  43
46.6  30
40.1  28
36.1  27
49.9  25
41.5  24
32.5  16
59.1  15
61.9  15



For Sc3ZnS6, DFT lattice parameters and positions (PBE) gives the computed powder diffraction line list in this record (Cu Ka).

Structure:
abc: 10.255 12.783 6.071
angles: 90.00 90.00 90.00
Space group Cmc2_1 (No. 36)
Inequivalent atoms, fractional coordinates:
Sc 0.000 0.106 0.000 x4
Sc 0.179 0.396 0.083 x8
Zn 0.000 0.298 0.626 x4
S 0.000 0.277 0.253 x4
S 0.000 0.466 0.784 x4
S 0.163 0.025 0.289 x8
S 0.176 0.229 0.821 x8

The 12 most intense peaks (5 to 70 degrees two-theta), in order of falling intensity:
2theta  I_rel
26.7  100
44.2  77
40.4  68
27.0  63
36.8  52
41.0  51
53.6  48
53.1  39
30.8  34
37.2  24
31.6  21
69.7  18



For ZrSc3S4, DFT lattice parameters and positions (PBE) gives the computed powder diffraction line list in this record (Cu Ka).

Structure:
abc: 6.419 7.392 6.387
angles: 90.00 109.45 90.00
Space group P2/c (No. 13)
Inequivalent atoms, fractional coordinates:
Zr 0.000 0.109 0.250 x2
Sc 0.000 0.360 0.750 x2
Sc 0.500 0.117 0.750 x2
Sc 0.500 0.372 0.250 x2
S 0.248 0.377 0.499 x4
S 0.259 0.130 0.004 x4

The 12 most intense peaks (5 to 70 degrees two-theta), in order of falling intensity:
2theta  I_rel
34.3  100
49.2  33
49.4  32
61.4  10
29.6  10
12.0  6
61.3  5
61.6  5
19.0  5
14.6  4
29.7  3
28.3  3



For Zr2Sc2S7, DFT lattice parameters and positions (PBE) gives the computed powder diffraction line list in this record (Cu Ka).

Structure:
abc: 3.689 13.461 8.143
angles: 90.00 90.00 90.00
Space group Imm2 (No. 44)
Inequivalent atoms, fractional coordinates:
Zr 0.000 0.241 0.000 x4
Sc 0.000 0.000 0.767 x2
Sc 0.000 0.500 0.797 x2
S 0.000 0.000 0.073 x2
S 0.000 0.109 0.486 x4
S 0.000 0.318 0.699 x4
S 0.000 0.357 0.299 x4

The 12 most intense peaks (5 to 70 degrees two-theta), in order of falling intensity:
2theta  I_rel
37.8  100
43.5  54
25.6  45
26.5  41
13.2  34
29.7  34
46.2  30
49.4  25
33.4  24
38.6  20
68.9  17
41.3  17



For Zr2Sc4S9, DFT lattice parameters and positions (PBE) gives the computed powder diffraction line list in this record (Cu Ka).

Structure:
abc: 6.4504 6.4504 17.8304
angles: 90.00 90.00 120.00
Space group P-3c1 (No. 165)
Inequivalent atoms, fractional coordinates:
Zr 0.0000 0.0000 0.1618 x4
Sc 0.3333 0.6667 0.0127 x4
Sc 0.3333 0.6667 0.3259 x4
S 0.0000 0.3216 0.2500 x6
S 0.0235 0.3520 0.9177 x12

The 12 most intense peaks (5 to 70 degrees two-theta), in order of falling intensity:
2theta  I_rel
41.3  100
31.6  59
18.7  55
48.9  50
25.6  39
27.7  30
65.9  22
15.9  21
38.0  20
47.7  17
54.3  10
54.0  9



For SeS, DFT lattice parameters and positions (PBE) gives the computed powder diffraction line list in this record (Cu Ka).

Structure:
abc: 5.728 9.346 5.093
angles: 90.00 96.88 90.00
Space group C2 (No. 5)
Inequivalent atoms, fractional coordinates:
Se 0.178 0.000 0.419 x4
S 0.158 0.819 0.103 x4

The 12 most intense peaks (5 to 70 degrees two-theta), in order of falling intensity:
2theta  I_rel
26.0  100
18.3  63
19.0  52
26.7  51
17.5  27
38.4  25
50.6  23
34.3  19
49.3  19
42.6  19
49.0  19
39.5  19



For Se2S, DFT lattice parameters and positions (PBE) gives the computed powder diffraction line list in this record (Cu Ka).

Structure:
abc: 5.930 5.955 7.165
angles: 78.65 79.22 72.95
Space group P1 (No. 1)
Inequivalent atoms, fractional coordinates:
Se 0.000 0.000 0.000 x1
Se 0.058 0.599 0.149 x1
Se 0.420 0.995 0.576 x1
Se 0.676 0.540 0.270 x1
S 0.042 0.001 0.686 x1
S 0.616 0.616 0.569 x1

The 12 most intense peaks (5 to 70 degrees two-theta), in order of falling intensity:
2theta  I_rel
18.9  100
21.7  56
31.8  53
18.7  52
20.3  38
31.6  35
28.0  30
15.8  27
39.1  26
25.6  20
42.5  18
50.9  17



For SeS, DFT lattice parameters and positions (PBE) gives the computed powder diffraction line list in this record (Cu Ka).

Structure:
abc: 2.651 4.245 9.565
angles: 90.00 90.00 90.00
Space group Amm2 (No. 38)
Inequivalent atoms, fractional coordinates:
Se 0.000 0.000 0.000 x2
S 0.000 0.000 0.771 x2

The 12 most intense peaks (5 to 70 degrees two-theta), in order of falling intensity:
2theta  I_rel
22.9  100
41.2  40
33.8  28
18.6  21
35.2  21
37.6  19
49.6  15
51.5  15
42.6  14
63.9  14
52.5  13
55.5  13



For Se2S, DFT lattice parameters and positions (PBE) gives the computed powder diffraction line list in this record (Cu Ka).

Structure:
abc: 4.375 9.209 4.809
angles: 90.00 90.77 90.00
Space group P2_1 (No. 4)
Inequivalent atoms, fractional coordinates:
Se 0.031 0.000 0.453 x2
Se 0.295 0.597 0.198 x2
S 0.030 0.176 0.133 x2

The 12 most intense peaks (5 to 70 degrees two-theta), in order of falling intensity:
2theta  I_rel
19.3  100
34.0  45
27.8  45
26.8  41
20.3  41
29.1  36
33.7  29
22.5  26
42.4  17
34.7  16
48.4  16
35.7  15



For SeS7, DFT lattice parameters and positions (PBE) gives the computed powder diffraction line list in this record (Cu Ka).

Structure:
abc: 5.412 9.601 16.063
angles: 90.14 90.48 90.09
Space group P1 (No. 1)
Inequivalent atoms, fractional coordinates:
Se 0.000 0.000 0.000 x1
Se 0.053 0.631 0.998 x1
Se 0.538 0.499 0.282 x1
S 0.019 0.312 0.677 x1
S 0.027 0.317 0.107 x1
S 0.044 0.618 0.779 x1
S 0.218 0.179 0.753 x1
S 0.230 0.186 0.033 x1
S 0.254 0.573 0.883 x1
S 0.299 0.067 0.392 x1
S 0.312 0.686 0.251 x1
S 0.324 0.680 0.528 x1
S 0.496 0.117 0.287 x1
S 0.503 0.116 0.497 x1
S 0.514 0.819 0.178 x1
S 0.522 0.815 0.604 x1
S 0.541 0.509 0.501 x1
S 0.715 0.949 0.255 x1
S 0.721 0.946 0.527 x1
S 0.747 0.554 0.397 x1
S 0.794 0.056 0.884 x1
S 0.823 0.446 0.031 x1
S 0.824 0.447 0.752 x1
S 0.999 0.009 0.781 x1

The 12 most intense peaks (5 to 70 degrees two-theta), in order of falling intensity:
2theta  I_rel
17.3  100
21.6  34
22.1  26
32.5  25
18.5  25
24.8  23
25.1  22
25.4  22
5.5  20
19.0  17
33.0  15
23.3  14



For Tb6Si2Se3S, DFT lattice parameters and positions (PBE) gives the computed powder diffraction line list in this record (Cu Ka).

Structure:
abc: 17.922 4.088 8.230
angles: 90.00 103.97 90.00
Space group C2/m (No. 12)
Inequivalent atoms, fractional coordinates:
Tb 0.005 0.000 0.244 x4
Tb 0.164 0.500 0.094 x4
Tb 0.169 0.500 0.575 x4
Si 0.166 0.000 0.331 x4
Se 0.000 0.500 0.500 x2
Se 0.165 0.000 0.835 x4
S 0.000 0.500 0.000 x2

The 12 most intense peaks (5 to 70 degrees two-theta), in order of falling intensity:
2theta  I_rel
30.8  100
44.4  37
44.0  36
26.7  33
55.0  19
64.2  12
26.4  11
52.4  10
54.4  6
52.5  5
52.0  5
25.6  3



For Tb4SiSe2S, DFT lattice parameters and positions (PBE) gives the computed powder diffraction line list in this record (Cu Ka).

Structure:
abc: 7.013 4.064 7.141
angles: 90.00 109.33 90.00
Space group P2/m (No. 10)
Inequivalent atoms, fractional coordinates:
Tb 0.243 0.000 0.234 x2
Tb 0.253 0.500 0.769 x2
Si 0.000 0.500 0.000 x1
Se 0.000 0.000 0.500 x1
Se 0.500 0.500 0.500 x1
S 0.500 0.000 0.000 x1

The 12 most intense peaks (5 to 70 degrees two-theta), in order of falling intensity:
2theta  I_rel
31.0  100
44.7  24
44.1  24
26.8  22
55.3  13
44.6  12
44.3  12
64.6  11
26.9  11
26.5  11
52.8  7
52.6  7



For Sm4SeS3, DFT lattice parameters and positions (PBE) gives the computed powder diffraction line list in this record (Cu Ka).

Structure:
abc: 4.0127 4.0127 27.0846
angles: 90.00 90.00 120.00
Space group P6_3/mmc (No. 194)
Inequivalent atoms, fractional coordinates:
Sm 0.0000 0.0000 0.1786 x4
Sm 0.3333 0.6667 0.0629 x4
Se 0.3333 0.6667 0.2500 x2
S 0.0000 0.0000 0.0000 x2
S 0.3333 0.6667 0.6209 x4

The 12 most intense peaks (5 to 70 degrees two-theta), in order of falling intensity:
2theta  I_rel
32.5  100
45.2  83
30.6  67
26.5  39
53.1  25
26.3  21
54.2  20
56.8  20
25.8  14
42.3  13
55.5  12
27.5  12